Record 1
For Eu3P4Pt4, a cell relaxed with GGA-PBE gives the theoretical PXRD pattern in this record (Cu Kα (weighted mean of Kα1 and Kα2)).
No peak broadening, texture or thermal motion is included.

The 10 most intense peaks (5° ≤ 2θ ≤ 70°), low angle first:
d/Å  2θ (°)  I (rel.)
4.415  20.11  30
3.295  27.07  63
3.164  28.20  34
2.777  32.23  75
2.740  32.68  100
2.671  33.56  30
2.208  40.86  40
2.059  43.97  34
1.997  45.41  60
1.506  61.59  27

Structure:
Unit cell a=9.610 b=9.610 c=6.855 alpha=109.30 beta=109.30 gamma=24.75
Fractional positions:
1 Eu 0.000 0.000 0.000
2 Eu 0.249 0.249 0.255
3 Eu 0.751 0.751 0.745
4 P 0.137 0.137 0.815
5 P 0.383 0.383 0.703
6 P 0.617 0.617 0.297
7 P 0.863 0.863 0.185
8 Pt 0.126 0.126 0.467
9 Pt 0.375 0.375 0.036
10 Pt 0.625 0.625 0.964
11 Pt 0.874 0.874 0.533

Record 2
For PmBe2H7, a cell relaxed with GGA-PBE gives the theoretical PXRD pattern in this record (Cu Kα (weighted mean of Kα1 and Kα2)).
No peak broadening, texture or thermal motion is included.

The 10 most intense peaks (5° ≤ 2θ ≤ 70°), low angle first:
d/Å  2θ (°)  I (rel.)
4.497  19.74  100
4.161  21.35  37
3.308  26.95  19
2.673  33.53  17
2.665  33.63  61
2.590  34.64  29
2.462  36.49  26
2.080  43.52  20
1.975  45.95  22
1.860  48.98  21

Structure:
Unit cell a=4.946 b=4.946 c=3.308 alpha=90.00 beta=90.00 gamma=114.58
Fractional positions:
1 Pm 0.000 0.000 0.000
2 Be 0.308 0.692 0.500
3 Be 0.692 0.308 0.500
4 H 0.046 0.327 0.500
5 H 0.288 0.712 0.000
6 H 0.327 0.046 0.500
7 H 0.500 0.500 0.500
8 H 0.673 0.954 0.500
9 H 0.712 0.288 0.000
10 H 0.954 0.673 0.500

What did the second record say?
For PmBe2H7, a cell relaxed with GGA-PBE gives the theoretical PXRD pattern in this record (Cu Kα (weighted mean of Kα1 and Kα2)).
No peak broadening, texture or thermal motion is included.

The 10 most intense peaks (5° ≤ 2θ ≤ 70°), low angle first:
d/Å  2θ (°)  I (rel.)
4.497  19.74  100
4.161  21.35  37
3.308  26.95  19
2.673  33.53  17
2.665  33.63  61
2.590  34.64  29
2.462  36.49  26
2.080  43.52  20
1.975  45.95  22
1.860  48.98  21

Structure:
Unit cell a=4.946 b=4.946 c=3.308 alpha=90.00 beta=90.00 gamma=114.58
Fractional positions:
1 Pm 0.000 0.000 0.000
2 Be 0.308 0.692 0.500
3 Be 0.692 0.308 0.500
4 H 0.046 0.327 0.500
5 H 0.288 0.712 0.000
6 H 0.327 0.046 0.500
7 H 0.500 0.500 0.500
8 H 0.673 0.954 0.500
9 H 0.712 0.288 0.000
10 H 0.954 0.673 0.500